# 1
The following is a calculated powder diffraction line list of CsMnBr3O2. It was derived from DFT lattice parameters and positions (GGA+U), using copper Kα.

Main lines, in order of rising 2θ (2θ = 10–90°):
two_theta  Rel. int.
13.25  20
16.55  18
24.15  19
26.69  26
29.38  100
32.82  43
33.45  22
41.66  24
47.44  19
48.84  20

Crystal structure
```
data_CsMnBr3O2
_space_group_name_H-M_alt 'P c c a'
_space_group_IT_number 54
_cell_length_a 8.9694
_cell_length_b 7.3816
_cell_length_c 13.3598
_cell_angle_alpha 90.00
_cell_angle_beta 90.00
_cell_angle_gamma 90.00
loop_
_space_group_symop_operation_xyz
'x,y,z'
'-x,-y,-z'
'-x+1/2,-y,z'
'x+1/2,y,-z'
'x+1/2,-y,-z+1/2'
'-x+1/2,y,z+1/2'
'-x,y,-z+1/2'
'x,-y,z+1/2'
loop_
_atom_site_label
_atom_site_type_symbol
_atom_site_fract_x
_atom_site_fract_y
_atom_site_fract_z
_atom_site_occupancy
Cs1 Cs 0.2500 0.0000 0.1273 1
Mn1 Mn 0.0000 0.4671 0.2500 1
Br1 Br 0.1154 0.2497 0.3690 1
Br2 Br 0.2500 0.5000 0.1347 1
O1 O 0.0331 0.2654 0.7938 1
```

# 2
The following is a calculated powder diffraction line list of MgFe2Si2BiO9. It was derived from DFT lattice parameters and positions (GGA+U), using copper Kα.

Main lines, in order of rising 2θ (2θ = 10–90°):
two_theta  Rel. int.
10.14  100
19.52  69
20.36  46
21.69  32
22.74  78
23.68  48
24.56  39
27.65  36
32.38  38
33.52  32

Crystal structure
```
data_MgFe2Si2BiO9
_space_group_name_H-M_alt 'P 1'
_space_group_IT_number 1
_cell_length_a 5.2909
_cell_length_b 5.3784
_cell_length_c 8.9969
_cell_angle_alpha 94.79
_cell_angle_beta 99.86
_cell_angle_gamma 115.51
loop_
_space_group_symop_operation_xyz
'x,y,z'
loop_
_atom_site_label
_atom_site_type_symbol
_atom_site_fract_x
_atom_site_fract_y
_atom_site_fract_z
_atom_site_occupancy
Mg1 Mg 0.0000 0.0000 0.0000 1
Fe1 Fe 0.3815 0.7155 0.6481 1
Fe2 Fe 0.7073 0.3602 0.6114 1
Si1 Si 0.1671 0.5513 0.9660 1
Si2 Si 0.5814 0.3567 0.9115 1
Bi1 Bi 0.9614 0.9708 0.4060 1
O1 O 0.0887 0.4941 0.7798 1
O2 O 0.2776 0.8534 0.0638 1
O3 O 0.3460 0.3466 0.5126 1
O4 O 0.3524 0.3675 0.0183 1
O5 O 0.4574 0.1199 0.7625 1
O6 O 0.6668 0.9992 0.5291 1
O7 O 0.6955 0.6698 0.8645 1
O8 O 0.8610 0.3249 0.0174 1
O9 O 0.9720 0.6393 0.5106 1
```

# 3
The following is a calculated powder diffraction line list of Fe2O3. It was derived from DFT lattice parameters and positions (GGA+U), using copper Kα.

Main lines, in order of rising 2θ (2θ = 10–90°):
two_theta  Rel. int.
18.22  22
29.82  30
35.10  100
35.31  41
42.60  13
42.80  25
56.32  18
56.45  12
56.69  20
61.97  44

Crystal structure
```
data_Fe2O3
_space_group_name_H-M_alt 'C 1 m 1'
_space_group_IT_number 8
_cell_length_a 10.3655
_cell_length_b 6.0079
_cell_length_c 14.6092
_cell_angle_alpha 90.00
_cell_angle_beta 90.52
_cell_angle_gamma 90.00
loop_
_space_group_symop_operation_xyz
'x,y,z'
'x,-y,z'
'x+1/2,y+1/2,z'
'x+1/2,-y+1/2,z'
loop_
_atom_site_label
_atom_site_type_symbol
_atom_site_fract_x
_atom_site_fract_y
_atom_site_fract_z
_atom_site_occupancy
Fe1 Fe 0.0000 0.0000 0.0000 1
Fe2 Fe 0.0042 0.0000 0.6080 1
Fe3 Fe 0.0103 0.0000 0.2338 1
Fe4 Fe 0.0849 0.2455 0.4501 1
Fe5 Fe 0.1628 0.5000 0.2742 1
Fe6 Fe 0.1695 0.5000 0.6565 1
Fe7 Fe 0.1731 0.0000 0.7857 1
Fe8 Fe 0.1775 0.5000 0.9203 1
Fe9 Fe 0.2547 0.2490 0.1198 1
Fe10 Fe 0.3306 0.0000 0.3235 1
Fe11 Fe 0.3398 0.5000 0.4497 1
Fe12 Fe 0.3445 0.0000 0.9631 1
Fe13 Fe 0.4202 0.2468 0.7857 1
O1 O 0.0039 0.0000 0.3673 1
O2 O 0.0040 0.0000 0.8624 1
O3 O 0.0119 0.5000 0.3628 1
O4 O 0.0821 0.2363 0.7051 1
O5 O 0.1055 0.2514 0.1982 1
O6 O 0.1525 0.0000 0.5258 1
O7 O 0.1696 0.5000 0.5252 1
O8 O 0.1807 0.0000 0.0409 1
O9 O 0.1850 0.5000 0.0470 1
O10 O 0.2467 0.2703 0.3660 1
O11 O 0.2590 0.2341 0.8689 1
O12 O 0.3219 0.0000 0.1925 1
O13 O 0.3279 0.5000 0.1953 1
O14 O 0.3379 0.0000 0.7218 1
O15 O 0.3461 0.5000 0.7051 1
O16 O 0.4025 0.2513 0.0367 1
O17 O 0.4297 0.2771 0.5255 1
O18 O 0.4979 0.0000 0.8722 1
```

# 4
The following is a calculated powder diffraction line list of YCrO5. It was derived from DFT lattice parameters and positions (GGA+U), using copper Kα.

Main lines, in order of rising 2θ (2θ = 10–90°):
two_theta  Rel. int.
18.64  100
22.72  54
25.08  41
25.23  79
25.39  72
26.37  59
28.45  71
31.57  85
33.23  40
44.72  39

Crystal structure
```
data_YCrO5
_space_group_name_H-M_alt 'P 1 21/c 1'
_space_group_IT_number 14
_cell_length_a 8.3113
_cell_length_b 11.6065
_cell_length_c 11.7085
_cell_angle_alpha 90.00
_cell_angle_beta 134.74
_cell_angle_gamma 90.00
loop_
_space_group_symop_operation_xyz
'x,y,z'
'-x,-y,-z'
'-x,y+1/2,-z+1/2'
'x,-y+1/2,z+1/2'
loop_
_atom_site_label
_atom_site_type_symbol
_atom_site_fract_x
_atom_site_fract_y
_atom_site_fract_z
_atom_site_occupancy
Y1 Y 0.1975 0.0637 0.3328 1
Y2 Y 0.2478 0.5790 0.1794 1
Cr1 Cr 0.1375 0.1709 0.9983 1
Cr2 Cr 0.4067 0.6892 0.5459 1
O1 O 0.0578 0.5840 0.6543 1
O2 O 0.0676 0.5377 0.9229 1
O3 O 0.0886 0.1912 0.4319 1
O4 O 0.1365 0.1647 0.1381 1
O5 O 0.2090 0.6188 0.3679 1
O6 O 0.2942 0.7415 0.6073 1
O7 O 0.3895 0.0983 0.8153 1
O8 O 0.3908 0.1294 0.0819 1
O9 O 0.4322 0.5153 0.0951 1
O10 O 0.4921 0.1967 0.4761 1
```

# 5
The following is a calculated powder diffraction line list of Li9Mn2Co5O16. It was derived from DFT lattice parameters and positions (GGA+U), using copper Kα.

Main lines, in order of rising 2θ (2θ = 10–90°):
two_theta  Rel. int.
18.48  100
34.80  17
36.61  24
37.45  8
37.77  7
41.85  30
44.61  49
47.55  9
58.81  10
62.82  29

Crystal structure
```
data_Li9Mn2Co5O16
_space_group_name_H-M_alt 'C 1 2 1'
_space_group_IT_number 5
_cell_length_a 10.3831
_cell_length_b 11.4214
_cell_length_c 5.1995
_cell_angle_alpha 90.00
_cell_angle_beta 112.41
_cell_angle_gamma 90.00
loop_
_space_group_symop_operation_xyz
'x,y,z'
'-x,y,-z'
'x+1/2,y+1/2,z'
'-x+1/2,y+1/2,-z'
loop_
_atom_site_label
_atom_site_type_symbol
_atom_site_fract_x
_atom_site_fract_y
_atom_site_fract_z
_atom_site_occupancy
Li1 Li 0.0000 0.0000 0.0000 1
Li2 Li 0.2373 0.9994 0.4792 1
Li3 Li 0.2411 0.1270 0.9976 1
Li4 Li 0.2417 0.8770 0.0015 1
Li5 Li 0.2480 0.2537 0.4994 1
Mn1 Mn 0.0000 0.4995 0.0000 1
Mn2 Mn 0.0000 0.6280 0.5000 1
Co1 Co 0.0000 0.1294 0.5000 1
Co2 Co 0.0000 0.2489 0.0000 1
Co3 Co 0.0000 0.3759 0.5000 1
Co4 Co 0.0000 0.7565 0.0000 1
Co5 Co 0.0000 0.8824 0.5000 1
O1 O 0.1021 0.1337 0.2572 1
O2 O 0.1016 0.6270 0.2495 1
O3 O 0.1109 0.3743 0.2292 1
O4 O 0.1121 0.8678 0.2405 1
O5 O 0.1134 0.2519 0.7193 1
O6 O 0.1183 0.0091 0.7186 1
O7 O 0.1180 0.5028 0.7213 1
O8 O 0.1199 0.7458 0.7289 1
```

# 6
The following is a calculated powder diffraction line list of YV2O4. It was derived from DFT lattice parameters and positions (GGA+U), using copper Kα.

Main lines, in order of rising 2θ (2θ = 10–90°):
two_theta  Rel. int.
27.81  55
28.37  52
32.64  51
33.13  100
33.37  48
49.88  19
52.99  33
53.32  25
57.45  43
58.69  41

Crystal structure
```
data_YV2O4
_space_group_name_H-M_alt 'R -3 m'
_space_group_IT_number 166
_space_group_name_Hall '-R 3 2"'
_cell_length_a 6.2925
_cell_length_b 6.2925
_cell_length_c 15.8755
_cell_angle_alpha 90.00
_cell_angle_beta 90.00
_cell_angle_gamma 120.00
loop_
_atom_site_label
_atom_site_type_symbol
_atom_site_fract_x
_atom_site_fract_y
_atom_site_fract_z
_atom_site_occupancy
Y1 Y 0.0000 0.0000 0.1249 1
V1 V 0.0000 0.0000 0.5000 1
V2 V 0.0000 0.5000 0.0000 1
O1 O 0.0000 0.0000 0.2636 1
O2 O 0.0339 0.5170 0.2566 1
```